Na2La2MgTi3O10: computed powder diffraction line list (Cu Kα), based on a cell relaxed with GGA-PBE.
Kinematic intensities with the Lorentz-polarization factor, no thermal factor.

Largest 12 diffraction maxima, sorted by position, 5° ≤ 2θ ≤ 70°:
2theta  intensity
6.48  100
22.71  20
27.85  26
31.99  49
32.24  80
37.38  14
37.75  14
41.76  29
45.86  44
57.17  31
57.66  15
67.47  15

Structure:
```
data_Na2La2MgTi3O10
_chemical_formula_sum 'Na2 La2 Mg1 Ti3 O10'
_space_group_name_H-M_alt 'P 1'
_space_group_IT_number 1
_cell_length_a 13.9212
_cell_length_b 13.9212
_cell_length_c 13.9212
_cell_angle_alpha 163.66
_cell_angle_beta 163.66
_cell_angle_gamma 23.19
loop_
_space_group_symop_operation_xyz
'x,y,z'
loop_
_atom_site_label
_atom_site_type_symbol
_atom_site_fract_x
_atom_site_fract_y
_atom_site_fract_z
Na1 Na 0.1896 0.1896 0.0000
Na2 Na 0.8104 0.8104 0.0000
La1 La 0.0728 0.0728 0.0000
La2 La 0.9272 0.9272 0.0000
Mg1 Mg 0.7500 0.2500 0.5000
Ti1 Ti 0.3535 0.3535 0.0000
Ti2 Ti 0.5000 0.5000 0.0000
Ti3 Ti 0.6465 0.6465 0.0000
O1 O 0.0000 0.5000 0.5000
O2 O 0.1373 0.6373 0.5000
O3 O 0.2788 0.2788 0.0000
O4 O 0.3627 0.8627 0.5000
O5 O 0.4276 0.4276 0.0000
O6 O 0.5000 0.0000 0.5000
O7 O 0.5724 0.5724 0.0000
O8 O 0.6447 0.1447 0.5000
O9 O 0.7212 0.7212 0.0000
O10 O 0.8553 0.3553 0.5000
```

=====

NbNO: computed powder diffraction line list (Cu Kα), based on a cell relaxed with GGA-PBE.
Kinematic intensities with the Lorentz-polarization factor, no thermal factor.

Largest 12 diffraction maxima, sorted by position, 5° ≤ 2θ ≤ 70°:
2theta  intensity
13.50  38
14.45  44
23.35  100
27.19  66
28.47  37
31.26  29
31.55  44
36.66  36
37.41  26
41.28  23
42.48  31
45.24  36

Structure:
```
data_NbNO
_chemical_formula_sum 'Nb4 N4 O4'
_space_group_name_H-M_alt 'P 1'
_space_group_IT_number 1
_cell_length_a 6.6942
_cell_length_b 6.6942
_cell_length_c 6.8371
_cell_angle_alpha 105.59
_cell_angle_beta 105.59
_cell_angle_gamma 34.85
loop_
_space_group_symop_operation_xyz
'x,y,z'
loop_
_atom_site_label
_atom_site_type_symbol
_atom_site_fract_x
_atom_site_fract_y
_atom_site_fract_z
Nb1 Nb 0.1042 0.1042 0.2130
Nb2 Nb 0.2085 0.2085 0.7935
Nb3 Nb 0.7915 0.7915 0.2065
Nb4 Nb 0.8958 0.8958 0.7870
N1 N 0.2593 0.2593 0.1424
N2 N 0.3610 0.3610 0.7698
N3 N 0.6390 0.6390 0.2302
N4 N 0.7407 0.7407 0.8576
O1 O 0.0569 0.0569 0.8761
O2 O 0.1283 0.1283 0.5090
O3 O 0.8717 0.8717 0.4910
O4 O 0.9431 0.9431 0.1239
```

=====

HfC: computed powder diffraction line list (Cu Kα), based on a cell relaxed with GGA-PBE.
Kinematic intensities with the Lorentz-polarization factor, no thermal factor.

Largest 7 diffraction maxima, sorted by position, 5° ≤ 2θ ≤ 70°:
2theta  intensity
30.65  35
31.99  100
44.89  89
57.01  23
63.83  5
66.13  25
66.88  12

Structure:
```
data_HfC
_chemical_formula_sum 'Hf1 C1'
_space_group_name_H-M_alt 'P 1'
_space_group_IT_number 1
_cell_length_a 3.2307
_cell_length_b 3.2307
_cell_length_c 2.9165
_cell_angle_alpha 90.00
_cell_angle_beta 90.00
_cell_angle_gamma 120.00
loop_
_space_group_symop_operation_xyz
'x,y,z'
loop_
_atom_site_label
_atom_site_type_symbol
_atom_site_fract_x
_atom_site_fract_y
_atom_site_fract_z
Hf1 Hf 0.0000 0.0000 0.0000
C1 C 0.3333 0.6667 0.5000
```

=====

LuTe: computed powder diffraction line list (Cu Kα), based on a cell relaxed with GGA-PBE.
Kinematic intensities with the Lorentz-polarization factor, no thermal factor.

Largest 10 diffraction maxima, sorted by position, 5° ≤ 2θ ≤ 70°:
2theta  intensity
22.34  2
25.51  38
34.17  100
44.97  31
45.60  10
50.78  1
52.42  5
52.98  10
57.67  22
65.98  20

Structure:
```
data_LuTe
_chemical_formula_sum 'Lu1 Te1'
_space_group_name_H-M_alt 'P 1'
_space_group_IT_number 1
_cell_length_a 4.0314
_cell_length_b 4.0314
_cell_length_c 3.9787
_cell_angle_alpha 90.00
_cell_angle_beta 90.00
_cell_angle_gamma 120.00
loop_
_space_group_symop_operation_xyz
'x,y,z'
loop_
_atom_site_label
_atom_site_type_symbol
_atom_site_fract_x
_atom_site_fract_y
_atom_site_fract_z
Lu1 Lu 0.0000 0.0000 0.0000
Te1 Te 0.6667 0.3333 0.5000
```

=====

Na3Ca: computed powder diffraction line list (Cu Kα), based on a cell relaxed with GGA-PBE.
Kinematic intensities with the Lorentz-polarization factor, no thermal factor.

Largest 12 diffraction maxima, sorted by position, 5° ≤ 2θ ≤ 70°:
2theta  intensity
19.98  10
23.29  4
26.95  24
29.79  25
30.87  100
40.60  15
47.61  18
53.55  19
55.56  3
57.18  20
57.83  14
64.32  3

Structure:
```
data_Na3Ca
_chemical_formula_sum 'Na6 Ca2'
_space_group_name_H-M_alt 'P 1'
_space_group_IT_number 1
_cell_length_a 7.6393
_cell_length_b 7.6393
_cell_length_c 5.9992
_cell_angle_alpha 90.00
_cell_angle_beta 90.00
_cell_angle_gamma 120.00
loop_
_space_group_symop_operation_xyz
'x,y,z'
loop_
_atom_site_label
_atom_site_type_symbol
_atom_site_fract_x
_atom_site_fract_y
_atom_site_fract_z
Na1 Na 0.1616 0.3233 0.2500
Na2 Na 0.1616 0.8384 0.2500
Na3 Na 0.3233 0.1616 0.7500
Na4 Na 0.6767 0.8384 0.2500
Na5 Na 0.8384 0.1616 0.7500
Na6 Na 0.8384 0.6767 0.7500
Ca1 Ca 0.3333 0.6667 0.7500
Ca2 Ca 0.6667 0.3333 0.2500
```

=====

GdTa3O9: computed powder diffraction line list (Cu Kα), based on a cell relaxed with GGA-PBE.
Kinematic intensities with the Lorentz-polarization factor, no thermal factor.

Largest 12 diffraction maxima, sorted by position, 5° ≤ 2θ ≤ 70°:
2theta  intensity
11.15  20
22.39  30
22.52  58
25.18  16
31.96  100
32.06  51
45.68  15
45.98  30
51.51  12
51.73  18
57.09  39
66.82  17

Structure:
```
data_GdTa3O9
_chemical_formula_sum 'Gd4 Ta12 O36'
_space_group_name_H-M_alt 'P 1'
_space_group_IT_number 1
_cell_length_a 5.5871
_cell_length_b 9.7064
_cell_length_c 13.6973
_cell_angle_alpha 89.62
_cell_angle_beta 90.00
_cell_angle_gamma 89.99
loop_
_space_group_symop_operation_xyz
'x,y,z'
loop_
_atom_site_label
_atom_site_type_symbol
_atom_site_fract_x
_atom_site_fract_y
_atom_site_fract_z
Gd1 Gd 0.2235 0.0744 0.4262
Gd2 Gd 0.2250 0.4164 0.0818
Gd3 Gd 0.7750 0.5836 0.9182
Gd4 Gd 0.7765 0.9256 0.5738
Ta1 Ta 0.2474 0.4155 0.3332
Ta2 Ta 0.2478 0.0832 0.1661
Ta3 Ta 0.2536 0.0848 0.6744
Ta4 Ta 0.2536 0.7366 0.4991
Ta5 Ta 0.2543 0.7610 0.0014
Ta6 Ta 0.2547 0.4159 0.8278
Ta7 Ta 0.7453 0.5841 0.1722
Ta8 Ta 0.7457 0.2390 0.9986
Ta9 Ta 0.7464 0.2634 0.5009
Ta10 Ta 0.7464 0.9152 0.3256
Ta11 Ta 0.7522 0.9168 0.8339
Ta12 Ta 0.7526 0.5845 0.6668
O1 O 0.9998 0.1480 0.5740
O2 O 0.9997 0.3516 0.9262
O3 O 0.0003 0.6484 0.0738
O4 O 0.0002 0.8520 0.4260
O5 O 0.0119 0.1893 0.0868
O6 O 0.0131 0.0089 0.2615
O7 O 0.0129 0.3150 0.4152
O8 O 0.0126 0.4873 0.2358
O9 O 0.2304 0.9247 0.5750
O10 O 0.2427 0.5839 0.4128
O11 O 0.2435 0.9199 0.0831
O12 O 0.2450 0.2524 0.7477
O13 O 0.2449 0.5740 0.9263
O14 O 0.2551 0.2510 0.2490
O15 O 0.4895 0.1832 0.0856
O16 O 0.4896 0.4915 0.2401
O17 O 0.4924 0.0080 0.2580
O18 O 0.4926 0.3206 0.4149
O19 O 0.5003 0.1434 0.5717
O20 O 0.4997 0.3479 0.9244
O21 O 0.5003 0.6521 0.0756
O22 O 0.4997 0.8566 0.4283
O23 O 0.5074 0.6794 0.5851
O24 O 0.5076 0.9920 0.7420
O25 O 0.5104 0.5085 0.7599
O26 O 0.5105 0.8168 0.9144
O27 O 0.7449 0.7490 0.7510
O28 O 0.7551 0.4260 0.0737
O29 O 0.7550 0.7476 0.2523
O30 O 0.7565 0.0801 0.9169
O31 O 0.7573 0.4161 0.5872
O32 O 0.7696 0.0753 0.4250
O33 O 0.9874 0.5127 0.7642
O34 O 0.9871 0.6850 0.5848
O35 O 0.9869 0.9911 0.7385
O36 O 0.9881 0.8107 0.9132
```

=====

CaLa2TiO6: computed powder diffraction line list (Cu Kα), based on a cell relaxed with GGA-PBE.
Kinematic intensities with the Lorentz-polarization factor, no thermal factor.

Largest 12 diffraction maxima, sorted by position, 5° ≤ 2θ ≤ 70°:
2theta  intensity
21.65  54
30.39  99
31.21  100
37.62  29
38.97  11
44.12  54
49.11  17
54.01  30
54.52  44
56.04  16
63.24  14
65.09  14

Structure:
```
data_CaLa2TiO6
_chemical_formula_sum 'Ca1 La2 Ti1 O6'
_space_group_name_H-M_alt 'P 1'
_space_group_IT_number 1
_cell_length_a 5.7359
_cell_length_b 5.7359
_cell_length_c 5.7359
_cell_angle_alpha 61.69
_cell_angle_beta 61.69
_cell_angle_gamma 61.69
loop_
_space_group_symop_operation_xyz
'x,y,z'
loop_
_atom_site_label
_atom_site_type_symbol
_atom_site_fract_x
_atom_site_fract_y
_atom_site_fract_z
Ca1 Ca 0.0000 0.0000 0.0000
La1 La 0.2592 0.2592 0.2592
La2 La 0.7408 0.7408 0.7408
Ti1 Ti 0.5000 0.5000 0.5000
O1 O 0.1683 0.3704 0.7137
O2 O 0.2863 0.8317 0.6296
O3 O 0.3704 0.7137 0.1683
O4 O 0.6296 0.2863 0.8317
O5 O 0.7137 0.1683 0.3704
O6 O 0.8317 0.6296 0.2863
```

=====

CsTiCu3Se4: computed powder diffraction line list (Cu Kα), based on a cell relaxed with GGA-PBE.
Kinematic intensities with the Lorentz-polarization factor, no thermal factor.

Largest 12 diffraction maxima, sorted by position, 5° ≤ 2θ ≤ 70°:
2theta  intensity
8.86  68
24.36  36
27.08  97
27.76  100
30.56  18
42.69  71
45.45  30
46.23  32
47.52  70
52.40  22
54.42  36
66.84  18

Structure:
```
data_CsTiCu3Se4
_chemical_formula_sum 'Cs2 Ti2 Cu6 Se8'
_space_group_name_H-M_alt 'P 1'
_space_group_IT_number 1
_cell_length_a 5.8254
_cell_length_b 7.8548
_cell_length_c 10.3925
_cell_angle_alpha 90.00
_cell_angle_beta 106.25
_cell_angle_gamma 90.00
loop_
_space_group_symop_operation_xyz
'x,y,z'
loop_
_atom_site_label
_atom_site_type_symbol
_atom_site_fract_x
_atom_site_fract_y
_atom_site_fract_z
Cs1 Cs 0.1996 0.2500 0.3780
Cs2 Cs 0.8004 0.7500 0.6220
Ti1 Ti 0.1466 0.2500 0.7947
Ti2 Ti 0.8534 0.7500 0.2053
Cu1 Cu 0.2800 0.5058 0.0021
Cu2 Cu 0.2800 0.9942 0.0021
Cu3 Cu 0.3496 0.7500 0.1997
Cu4 Cu 0.6504 0.2500 0.8003
Cu5 Cu 0.7200 0.0058 0.9979
Cu6 Cu 0.7200 0.4942 0.9979
Se1 Se 0.0210 0.2500 0.0031
Se2 Se 0.1920 0.7500 0.3938
Se3 Se 0.3869 0.5031 0.7892
Se4 Se 0.3869 0.9969 0.7892
Se5 Se 0.6131 0.0031 0.2108
Se6 Se 0.6131 0.4969 0.2108
Se7 Se 0.8080 0.2500 0.6062
Se8 Se 0.9790 0.7500 0.9969
```

=====

OsSe2Br12: computed powder diffraction line list (Cu Kα), based on a cell relaxed with GGA-PBE.
Kinematic intensities with the Lorentz-polarization factor, no thermal factor.

Largest 12 diffraction maxima, sorted by position, 5° ≤ 2θ ≤ 70°:
2theta  intensity
9.95  42
14.69  100
14.83  52
21.39  24
26.83  23
27.72  22
28.53  60
29.66  51
30.00  28
36.61  21
38.42  22
45.11  33

Structure:
```
data_OsSe2Br12
_chemical_formula_sum 'Os1 Se2 Br12'
_space_group_name_H-M_alt 'P 1'
_space_group_IT_number 1
_cell_length_a 9.3903
_cell_length_b 9.3903
_cell_length_c 7.0153
_cell_angle_alpha 107.88
_cell_angle_beta 107.88
_cell_angle_gamma 79.03
loop_
_space_group_symop_operation_xyz
'x,y,z'
loop_
_atom_site_label
_atom_site_type_symbol
_atom_site_fract_x
_atom_site_fract_y
_atom_site_fract_z
Os1 Os 0.0000 0.0000 0.0000
Se1 Se 0.2775 0.2775 0.2687
Se2 Se 0.7225 0.7225 0.7313
Br1 Br 0.0389 0.7483 0.7535
Br2 Br 0.1257 0.1257 0.8382
Br3 Br 0.2136 0.5222 0.2037
Br4 Br 0.2517 0.9611 0.2465
Br5 Br 0.3500 0.3500 0.6443
Br6 Br 0.4778 0.7864 0.7963
Br7 Br 0.5222 0.2136 0.2037
Br8 Br 0.6500 0.6500 0.3557
Br9 Br 0.7483 0.0389 0.7535
Br10 Br 0.7864 0.4778 0.7963
Br11 Br 0.8743 0.8743 0.1618
Br12 Br 0.9611 0.2517 0.2465
```

=====

Ca2Mg: computed powder diffraction line list (Cu Kα), based on a cell relaxed with GGA-PBE.
Kinematic intensities with the Lorentz-polarization factor, no thermal factor.

Largest 12 diffraction maxima, sorted by position, 5° ≤ 2θ ≤ 70°:
2theta  intensity
27.81  20
28.82  13
29.84  38
31.64  100
32.55  39
41.24  13
41.97  9
48.55  9
50.45  15
54.11  19
58.03  10
59.70  29

Structure:
```
data_Ca2Mg
_chemical_formula_sum 'Ca8 Mg4'
_space_group_name_H-M_alt 'P 1'
_space_group_IT_number 1
_cell_length_a 3.7507
_cell_length_b 18.5849
_cell_length_c 5.9882
_cell_angle_alpha 90.00
_cell_angle_beta 90.00
_cell_angle_gamma 90.00
loop_
_space_group_symop_operation_xyz
'x,y,z'
loop_
_atom_site_label
_atom_site_type_symbol
_atom_site_fract_x
_atom_site_fract_y
_atom_site_fract_z
Ca1 Ca 0.0000 0.0543 0.2500
Ca2 Ca 0.0000 0.2711 0.7500
Ca3 Ca 0.0000 0.7289 0.2500
Ca4 Ca 0.0000 0.9457 0.7500
Ca5 Ca 0.5000 0.2289 0.2500
Ca6 Ca 0.5000 0.4457 0.7500
Ca7 Ca 0.5000 0.5543 0.2500
Ca8 Ca 0.5000 0.7711 0.7500
Mg1 Mg 0.0000 0.3893 0.2500
Mg2 Mg 0.0000 0.6107 0.7500
Mg3 Mg 0.5000 0.1107 0.7500
Mg4 Mg 0.5000 0.8893 0.2500
```

=====

LiScTl2: computed powder diffraction line list (Cu Kα), based on a cell relaxed with GGA-PBE.
Kinematic intensities with the Lorentz-polarization factor, no thermal factor.

Largest 8 diffraction maxima, sorted by position, 5° ≤ 2θ ≤ 70°:
2theta  intensity
21.59  2
24.98  74
35.62  100
42.04  1
44.00  23
51.26  18
57.85  31
63.98  37

Structure:
```
data_LiScTl2
_chemical_formula_sum 'Li4 Sc4 Tl8'
_space_group_name_H-M_alt 'P 1'
_space_group_IT_number 1
_cell_length_a 7.1285
_cell_length_b 7.1285
_cell_length_c 7.1285
_cell_angle_alpha 90.00
_cell_angle_beta 90.00
_cell_angle_gamma 90.00
loop_
_space_group_symop_operation_xyz
'x,y,z'
loop_
_atom_site_label
_atom_site_type_symbol
_atom_site_fract_x
_atom_site_fract_y
_atom_site_fract_z
Li1 Li 0.0000 0.0000 0.0000
Li2 Li 0.0000 0.5000 0.5000
Li3 Li 0.5000 0.0000 0.5000
Li4 Li 0.5000 0.5000 0.0000
Sc1 Sc 0.0000 0.0000 0.5000
Sc2 Sc 0.0000 0.5000 0.0000
Sc3 Sc 0.5000 0.0000 0.0000
Sc4 Sc 0.5000 0.5000 0.5000
Tl1 Tl 0.2500 0.2500 0.2500
Tl2 Tl 0.2500 0.2500 0.7500
Tl3 Tl 0.2500 0.7500 0.2500
Tl4 Tl 0.2500 0.7500 0.7500
Tl5 Tl 0.7500 0.2500 0.2500
Tl6 Tl 0.7500 0.2500 0.7500
Tl7 Tl 0.7500 0.7500 0.2500
Tl8 Tl 0.7500 0.7500 0.7500
```

=====

Be3Ir: computed powder diffraction line list (Cu Kα), based on a cell relaxed with GGA-PBE.
Kinematic intensities with the Lorentz-polarization factor, no thermal factor.

Largest 10 diffraction maxima, sorted by position, 5° ≤ 2θ ≤ 70°:
2theta  intensity
24.52  41
29.92  100
38.88  25
46.50  39
46.66  30
50.26  8
56.15  11
62.17  13
64.93  23
65.30  11

Structure:
```
data_Be3Ir
_chemical_formula_sum 'Be6 Ir2'
_space_group_name_H-M_alt 'P 1'
_space_group_IT_number 1
_cell_length_a 3.2761
_cell_length_b 3.2761
_cell_length_c 7.2611
_cell_angle_alpha 90.00
_cell_angle_beta 90.00
_cell_angle_gamma 90.00
loop_
_space_group_symop_operation_xyz
'x,y,z'
loop_
_atom_site_label
_atom_site_type_symbol
_atom_site_fract_x
_atom_site_fract_y
_atom_site_fract_z
Be1 Be 0.0000 0.0000 0.0000
Be2 Be 0.0000 0.5000 0.2500
Be3 Be 0.0000 0.5000 0.7500
Be4 Be 0.5000 0.0000 0.2500
Be5 Be 0.5000 0.0000 0.7500
Be6 Be 0.5000 0.5000 0.5000
Ir1 Ir 0.0000 0.0000 0.5000
Ir2 Ir 0.5000 0.5000 0.0000
```